# 1
Computed PXRD pattern
Compound: HgP3F12
Radiation: Cu Kα X-rays
Structure: DFT lattice parameters and positions (PBE)
No peak broadening, texture or thermal motion is included.

The 10 most intense peaks (2θ = 10–90°), in order of rising 2θ:
d 6.755, 2θ 13.1, intensity 100; d 5.311, 2θ 16.7, intensity 68; d 4.004, 2θ 22.2, intensity 34; d 3.673, 2θ 24.2, intensity 32; d 3.341, 2θ 26.7, intensity 19; d 3.282, 2θ 27.2, intensity 78; d 2.813, 2θ 31.8, intensity 34; d 2.674, 2θ 33.5, intensity 48; d 2.341, 2θ 38.5, intensity 21; d 2.270, 2θ 39.7, intensity 27

Atomic structure:
```
data_HgP3F12
_cell_length_a 11.136
_cell_length_b 11.136
_cell_length_c 11.136
_cell_angle_alpha 46.28
_cell_angle_beta 46.28
_cell_angle_gamma 46.28
_symmetry_space_group_name_H-M 'P 1'
_symmetry_Int_Tables_number 1
loop_
_symmetry_equiv_pos_as_xyz
'x,y,z'
loop_
_atom_site_label
_atom_site_type_symbol
_atom_site_fract_x
_atom_site_fract_y
_atom_site_fract_z
Hg1 Hg 0.000 0.000 0.000
Hg2 Hg 0.500 0.500 0.500
P1 P 0.038 0.776 0.361
P2 P 0.276 0.538 0.861
P3 P 0.361 0.038 0.776
P4 P 0.538 0.861 0.276
P5 P 0.776 0.361 0.038
P6 P 0.861 0.276 0.538
F1 F 0.005 0.181 0.606
F2 F 0.106 0.681 0.505
F3 F 0.113 0.694 0.791
F4 F 0.181 0.606 0.005
F5 F 0.194 0.613 0.291
F6 F 0.220 0.379 0.978
F7 F 0.291 0.194 0.613
F8 F 0.378 0.906 0.972
F9 F 0.379 0.978 0.220
F10 F 0.406 0.878 0.472
F11 F 0.472 0.406 0.878
F12 F 0.478 0.879 0.720
F13 F 0.505 0.106 0.681
F14 F 0.606 0.005 0.181
F15 F 0.613 0.291 0.194
F16 F 0.681 0.505 0.106
F17 F 0.694 0.791 0.113
F18 F 0.720 0.478 0.879
F19 F 0.791 0.113 0.694
F20 F 0.878 0.472 0.406
F21 F 0.879 0.720 0.478
F22 F 0.906 0.972 0.378
F23 F 0.972 0.378 0.906
F24 F 0.978 0.220 0.379
```

# 2
Computed PXRD pattern
Compound: Hg2PS2F4
Radiation: Cu Kα X-rays
Structure: DFT lattice parameters and positions (PBE)
No peak broadening, texture or thermal motion is included.

The 10 most intense peaks (2θ = 10–90°), in order of rising 2θ:
d 4.647, 2θ 19.1, intensity 100; d 4.596, 2θ 19.3, intensity 37; d 3.802, 2θ 23.4, intensity 32; d 3.633, 2θ 24.5, intensity 37; d 3.118, 2θ 28.6, intensity 26; d 2.660, 2θ 33.7, intensity 46; d 2.588, 2θ 34.7, intensity 25; d 2.193, 2θ 41.2, intensity 28; d 2.118, 2θ 42.7, intensity 24; d 1.698, 2θ 54.0, intensity 20

Atomic structure:
```
data_Hg2PS2F4
_cell_length_a 6.541
_cell_length_b 6.541
_cell_length_c 6.358
_cell_angle_alpha 96.62
_cell_angle_beta 96.62
_cell_angle_gamma 44.71
_symmetry_space_group_name_H-M 'P 1'
_symmetry_Int_Tables_number 1
loop_
_symmetry_equiv_pos_as_xyz
'x,y,z'
loop_
_atom_site_label
_atom_site_type_symbol
_atom_site_fract_x
_atom_site_fract_y
_atom_site_fract_z
Hg1 Hg 0.162 0.162 0.314
Hg2 Hg 0.838 0.838 0.686
P1 P 0.000 0.000 0.000
S1 S 0.326 0.326 0.606
S2 S 0.674 0.674 0.394
F1 F 0.165 0.704 0.119
F2 F 0.296 0.835 0.881
F3 F 0.704 0.165 0.119
F4 F 0.835 0.296 0.881
```

# 3
Computed PXRD pattern
Compound: Pa2HgF11
Radiation: Cu Kα X-rays
Structure: DFT lattice parameters and positions (PBE)
No peak broadening, texture or thermal motion is included.

The 10 most intense peaks (2θ = 10–90°), in order of rising 2θ:
d 6.087, 2θ 14.6, intensity 41; d 4.523, 2θ 19.6, intensity 100; d 4.297, 2θ 20.7, intensity 61; d 4.049, 2θ 22.0, intensity 81; d 3.812, 2θ 23.3, intensity 93; d 3.335, 2θ 26.7, intensity 33; d 3.042, 2θ 29.4, intensity 41; d 2.248, 2θ 40.1, intensity 41; d 2.113, 2θ 42.8, intensity 46; d 1.507, 2θ 61.5, intensity 28

Atomic structure:
```
data_Pa2HgF11
_cell_length_a 9.226
_cell_length_b 9.226
_cell_length_c 9.226
_cell_angle_alpha 124.15
_cell_angle_beta 108.01
_cell_angle_gamma 97.44
_symmetry_space_group_name_H-M 'P 1'
_symmetry_Int_Tables_number 1
loop_
_symmetry_equiv_pos_as_xyz
'x,y,z'
loop_
_atom_site_label
_atom_site_type_symbol
_atom_site_fract_x
_atom_site_fract_y
_atom_site_fract_z
Pa1 Pa 0.181 0.143 0.323
Pa2 Pa 0.319 0.643 0.962
Pa3 Pa 0.681 0.357 0.038
Pa4 Pa 0.819 0.857 0.677
Hg1 Hg 0.250 0.750 0.500
Hg2 Hg 0.750 0.250 0.500
F1 F 0.000 0.000 0.000
F2 F 0.046 0.872 0.674
F3 F 0.068 0.468 0.793
F4 F 0.175 0.968 0.401
F5 F 0.198 0.372 0.326
F6 F 0.219 0.868 0.087
F7 F 0.281 0.368 0.649
F8 F 0.302 0.628 0.174
F9 F 0.325 0.725 0.793
F10 F 0.432 0.225 0.401
F11 F 0.454 0.128 0.826
F12 F 0.500 0.500 0.000
F13 F 0.546 0.872 0.174
F14 F 0.568 0.775 0.599
F15 F 0.675 0.275 0.207
F16 F 0.698 0.372 0.826
F17 F 0.719 0.632 0.351
F18 F 0.781 0.132 0.913
F19 F 0.802 0.628 0.674
F20 F 0.825 0.032 0.599
F21 F 0.932 0.532 0.207
F22 F 0.954 0.128 0.326
```

# 4
Computed PXRD pattern
Compound: PaHgF4
Radiation: Cu Kα X-rays
Structure: DFT lattice parameters and positions (PBE)
No peak broadening, texture or thermal motion is included.

The 10 most intense peaks (2θ = 10–90°), in order of rising 2θ:
d 5.943, 2θ 14.9, intensity 27; d 4.079, 2θ 21.8, intensity 82; d 3.830, 2θ 23.2, intensity 100; d 3.529, 2θ 25.2, intensity 50; d 2.669, 2θ 33.6, intensity 53; d 2.595, 2θ 34.6, intensity 80; d 2.304, 2θ 39.1, intensity 25; d 1.929, 2θ 47.1, intensity 36; d 1.765, 2θ 51.8, intensity 33; d 1.529, 2θ 60.6, intensity 28

Atomic structure:
```
data_PaHgF4
_cell_length_a 8.158
_cell_length_b 3.529
_cell_length_c 8.675
_cell_angle_alpha 90.00
_cell_angle_beta 90.00
_cell_angle_gamma 90.00
_symmetry_space_group_name_H-M 'P 1'
_symmetry_Int_Tables_number 1
loop_
_symmetry_equiv_pos_as_xyz
'x,y,z'
loop_
_atom_site_label
_atom_site_type_symbol
_atom_site_fract_x
_atom_site_fract_y
_atom_site_fract_z
Pa1 Pa 0.250 0.000 0.123
Pa2 Pa 0.750 0.000 0.877
Hg1 Hg 0.250 0.000 0.555
Hg2 Hg 0.750 0.000 0.445
F1 F 0.000 0.000 0.000
F2 F 0.097 0.500 0.231
F3 F 0.250 0.500 0.952
F4 F 0.403 0.500 0.231
F5 F 0.500 0.000 0.000
F6 F 0.597 0.500 0.769
F7 F 0.750 0.500 0.048
F8 F 0.903 0.500 0.769
```

# 5
Computed PXRD pattern
Compound: Hg2PbF2
Radiation: Cu Kα X-rays
Structure: DFT lattice parameters and positions (PBE)
No peak broadening, texture or thermal motion is included.

The 10 most intense peaks (2θ = 10–90°), in order of rising 2θ:
d 3.704, 2θ 24.0, intensity 98; d 3.074, 2θ 29.1, intensity 77; d 2.935, 2θ 30.5, intensity 48; d 2.895, 2θ 30.9, intensity 99; d 2.649, 2θ 33.8, intensity 100; d 2.123, 2θ 42.6, intensity 40; d 2.076, 2θ 43.6, intensity 41; d 1.720, 2θ 53.3, intensity 45; d 1.500, 2θ 61.8, intensity 30; d 1.235, 2θ 77.3, intensity 32

Atomic structure:
```
data_Hg2PbF2
_cell_length_a 6.564
_cell_length_b 6.564
_cell_length_c 6.147
_cell_angle_alpha 90.00
_cell_angle_beta 90.00
_cell_angle_gamma 90.00
_symmetry_space_group_name_H-M 'P 1'
_symmetry_Int_Tables_number 1
loop_
_symmetry_equiv_pos_as_xyz
'x,y,z'
loop_
_atom_site_label
_atom_site_type_symbol
_atom_site_fract_x
_atom_site_fract_y
_atom_site_fract_z
Hg1 Hg 0.172 0.328 0.000
Hg2 Hg 0.328 0.828 0.000
Hg3 Hg 0.672 0.172 0.000
Hg4 Hg 0.828 0.672 0.000
Pb1 Pb 0.000 0.000 0.500
Pb2 Pb 0.500 0.500 0.500
F1 F 0.198 0.698 0.500
F2 F 0.302 0.198 0.500
F3 F 0.698 0.802 0.500
F4 F 0.802 0.302 0.500
```

# 6
Computed PXRD pattern
Compound: Hg2Pb2F7
Radiation: Cu Kα X-rays
Structure: DFT lattice parameters and positions (PBE)
No peak broadening, texture or thermal motion is included.

The 10 most intense peaks (2θ = 10–90°), in order of rising 2θ:
d 3.494, 2θ 25.5, intensity 100; d 3.317, 2θ 26.9, intensity 84; d 3.018, 2θ 29.6, intensity 50; d 2.818, 2θ 31.8, intensity 22; d 2.226, 2θ 40.5, intensity 19; d 2.059, 2θ 44.0, intensity 61; d 2.052, 2θ 44.1, intensity 16; d 1.849, 2θ 49.3, intensity 37; d 1.769, 2θ 51.7, intensity 30; d 1.330, 2θ 70.9, intensity 15

Atomic structure:
```
data_Hg2Pb2F7
_cell_length_a 8.272
_cell_length_b 8.272
_cell_length_c 8.272
_cell_angle_alpha 120.52
_cell_angle_beta 94.11
_cell_angle_gamma 114.87
_symmetry_space_group_name_H-M 'P 1'
_symmetry_Int_Tables_number 1
loop_
_symmetry_equiv_pos_as_xyz
'x,y,z'
loop_
_atom_site_label
_atom_site_type_symbol
_atom_site_fract_x
_atom_site_fract_y
_atom_site_fract_z
Hg1 Hg 0.000 0.000 0.000
Hg2 Hg 0.500 0.000 0.000
Hg3 Hg 0.500 0.000 0.500
Hg4 Hg 0.500 0.500 0.500
Pb1 Pb 0.000 0.000 0.500
Pb2 Pb 0.000 0.500 0.000
Pb3 Pb 0.000 0.500 0.500
Pb4 Pb 0.500 0.500 0.000
F1 F 0.110 0.219 0.349
F2 F 0.110 0.762 0.891
F3 F 0.133 0.741 0.391
F4 F 0.150 0.259 0.891
F5 F 0.371 0.219 0.609
F6 F 0.371 0.762 0.151
F7 F 0.388 0.638 0.750
F8 F 0.612 0.362 0.250
F9 F 0.629 0.238 0.849
F10 F 0.629 0.781 0.391
F11 F 0.850 0.741 0.109
F12 F 0.867 0.259 0.609
F13 F 0.890 0.238 0.109
F14 F 0.890 0.781 0.651
```

# 7
Computed PXRD pattern
Compound: RbHg2PbF8
Radiation: Cu Kα X-rays
Structure: DFT lattice parameters and positions (PBE)
No peak broadening, texture or thermal motion is included.

The 10 most intense peaks (2θ = 10–90°), in order of rising 2θ:
d 3.352, 2θ 26.6, intensity 100; d 2.925, 2θ 30.6, intensity 11; d 2.892, 2θ 30.9, intensity 20; d 2.056, 2θ 44.0, intensity 38; d 2.045, 2θ 44.3, intensity 19; d 1.760, 2θ 52.0, intensity 16; d 1.746, 2θ 52.4, intensity 32; d 1.676, 2θ 54.8, intensity 9; d 1.334, 2θ 70.6, intensity 13; d 1.183, 2θ 81.4, intensity 12

Atomic structure:
```
data_RbHg2PbF8
_cell_length_a 7.137
_cell_length_b 7.137
_cell_length_c 7.137
_cell_angle_alpha 132.20
_cell_angle_beta 132.20
_cell_angle_gamma 69.92
_symmetry_space_group_name_H-M 'P 1'
_symmetry_Int_Tables_number 1
loop_
_symmetry_equiv_pos_as_xyz
'x,y,z'
loop_
_atom_site_label
_atom_site_type_symbol
_atom_site_fract_x
_atom_site_fract_y
_atom_site_fract_z
Rb1 Rb 0.000 0.000 0.000
Hg1 Hg 0.500 0.500 0.000
Hg2 Hg 0.750 0.250 0.500
Pb1 Pb 0.250 0.750 0.500
F1 F 0.137 0.124 0.535
F2 F 0.137 0.602 0.012
F3 F 0.398 0.410 0.535
F4 F 0.398 0.863 0.988
F5 F 0.590 0.124 0.988
F6 F 0.590 0.602 0.465
F7 F 0.876 0.410 0.012
F8 F 0.876 0.863 0.465
```

# 8
Computed PXRD pattern
Compound: SrHgPbF6
Radiation: Cu Kα X-rays
Structure: DFT lattice parameters and positions (PBE)
No peak broadening, texture or thermal motion is included.

The 10 most intense peaks (2θ = 10–90°), in order of rising 2θ:
d 4.787, 2θ 18.5, intensity 15; d 3.663, 2θ 24.3, intensity 100; d 3.162, 2θ 28.2, intensity 53; d 2.393, 2θ 37.6, intensity 33; d 1.943, 2θ 46.7, intensity 44; d 1.908, 2θ 47.7, intensity 34; d 1.825, 2θ 50.0, intensity 22; d 1.467, 2θ 63.4, intensity 10; d 1.451, 2θ 64.2, intensity 14; d 1.330, 2θ 70.8, intensity 13

Atomic structure:
```
data_SrHgPbF6
_cell_length_a 6.323
_cell_length_b 6.323
_cell_length_c 9.855
_cell_angle_alpha 90.00
_cell_angle_beta 90.00
_cell_angle_gamma 120.00
_symmetry_space_group_name_H-M 'P 1'
_symmetry_Int_Tables_number 1
loop_
_symmetry_equiv_pos_as_xyz
'x,y,z'
loop_
_atom_site_label
_atom_site_type_symbol
_atom_site_fract_x
_atom_site_fract_y
_atom_site_fract_z
Sr1 Sr 0.333 0.667 0.250
Sr2 Sr 0.667 0.333 0.750
Hg1 Hg 0.333 0.667 0.750
Hg2 Hg 0.667 0.333 0.250
Pb1 Pb 0.000 0.000 0.000
Pb2 Pb 0.000 0.000 0.500
F1 F 0.011 0.341 0.632
F2 F 0.011 0.670 0.868
F3 F 0.330 0.341 0.868
F4 F 0.330 0.989 0.632
F5 F 0.341 0.011 0.132
F6 F 0.341 0.330 0.368
F7 F 0.659 0.670 0.632
F8 F 0.659 0.989 0.868
F9 F 0.670 0.011 0.368
F10 F 0.670 0.659 0.132
F11 F 0.989 0.330 0.132
F12 F 0.989 0.659 0.368
```

# 9
Computed PXRD pattern
Compound: Hg4PdF2
Radiation: Cu Kα X-rays
Structure: DFT lattice parameters and positions (PBE)
No peak broadening, texture or thermal motion is included.

The 10 most intense peaks (2θ = 10–90°), in order of rising 2θ:
d 3.359, 2θ 26.5, intensity 71; d 3.332, 2θ 26.8, intensity 72; d 3.145, 2θ 28.4, intensity 94; d 2.791, 2θ 32.1, intensity 45; d 2.758, 2θ 32.5, intensity 50; d 2.595, 2θ 34.6, intensity 94; d 2.572, 2θ 34.9, intensity 100; d 2.141, 2θ 42.2, intensity 72; d 2.057, 2θ 44.0, intensity 46; d 2.046, 2θ 44.3, intensity 45

Atomic structure:
```
data_Hg4PdF2
_cell_length_a 4.282
_cell_length_b 5.914
_cell_length_c 6.297
_cell_angle_alpha 92.22
_cell_angle_beta 90.68
_cell_angle_gamma 111.00
_symmetry_space_group_name_H-M 'P 1'
_symmetry_Int_Tables_number 1
loop_
_symmetry_equiv_pos_as_xyz
'x,y,z'
loop_
_atom_site_label
_atom_site_type_symbol
_atom_site_fract_x
_atom_site_fract_y
_atom_site_fract_z
Hg1 Hg 0.108 0.217 0.397
Hg2 Hg 0.346 0.688 0.000
Hg3 Hg 0.654 0.312 0.000
Hg4 Hg 0.892 0.783 0.603
Pd1 Pd 0.000 0.000 0.000
F1 F 0.323 0.650 0.412
F2 F 0.677 0.350 0.588
```

# 10
Computed PXRD pattern
Compound: Hg2Pd2F7
Radiation: Cu Kα X-rays
Structure: DFT lattice parameters and positions (PBE)
No peak broadening, texture or thermal motion is included.

The 10 most intense peaks (2θ = 10–90°), in order of rising 2θ:
d 4.935, 2θ 18.0, intensity 39; d 4.202, 2θ 21.1, intensity 100; d 3.657, 2θ 24.3, intensity 68; d 3.186, 2θ 28.0, intensity 74; d 2.813, 2θ 31.8, intensity 44; d 2.780, 2θ 32.2, intensity 67; d 2.630, 2θ 34.1, intensity 36; d 2.468, 2θ 36.4, intensity 35; d 1.999, 2θ 45.4, intensity 46; d 1.651, 2θ 55.7, intensity 28

Atomic structure:
```
data_Hg2Pd2F7
_cell_length_a 6.455
_cell_length_b 10.710
_cell_length_c 5.634
_cell_angle_alpha 90.00
_cell_angle_beta 99.24
_cell_angle_gamma 90.00
_symmetry_space_group_name_H-M 'P 1'
_symmetry_Int_Tables_number 1
loop_
_symmetry_equiv_pos_as_xyz
'x,y,z'
loop_
_atom_site_label
_atom_site_type_symbol
_atom_site_fract_x
_atom_site_fract_y
_atom_site_fract_z
Hg1 Hg 0.019 0.119 0.464
Hg2 Hg 0.019 0.381 0.964
Hg3 Hg 0.981 0.619 0.036
Hg4 Hg 0.981 0.881 0.536
Pd1 Pd 0.489 0.190 0.001
Pd2 Pd 0.489 0.310 0.501
Pd3 Pd 0.511 0.690 0.499
Pd4 Pd 0.511 0.810 0.999
F1 F 0.177 0.186 0.924
F2 F 0.177 0.314 0.424
F3 F 0.202 0.700 0.421
F4 F 0.202 0.800 0.921
F5 F 0.466 0.129 0.496
F6 F 0.466 0.371 0.996
F7 F 0.500 0.000 0.000
F8 F 0.500 0.500 0.500
F9 F 0.534 0.629 0.004
F10 F 0.534 0.871 0.504
F11 F 0.798 0.200 0.079
F12 F 0.798 0.300 0.579
F13 F 0.823 0.686 0.576
F14 F 0.823 0.814 0.076
```

# 11
Computed PXRD pattern
Compound: PmHg4F12
Radiation: Cu Kα X-rays
Structure: DFT lattice parameters and positions (PBE)
No peak broadening, texture or thermal motion is included.

The 10 most intense peaks (2θ = 10–90°), in order of rising 2θ:
d 6.120, 2θ 14.5, intensity 21; d 4.480, 2θ 19.8, intensity 84; d 4.189, 2θ 21.2, intensity 30; d 3.168, 2θ 28.2, intensity 52; d 3.060, 2θ 29.2, intensity 100; d 2.527, 2θ 35.5, intensity 22; d 2.240, 2θ 40.3, intensity 34; d 2.004, 2θ 45.3, intensity 20; d 1.808, 2θ 50.5, intensity 52; d 1.747, 2θ 52.4, intensity 29

Atomic structure:
```
data_PmHg4F12
_cell_length_a 7.596
_cell_length_b 7.596
_cell_length_c 7.596
_cell_angle_alpha 107.71
_cell_angle_beta 107.71
_cell_angle_gamma 113.06
_symmetry_space_group_name_H-M 'P 1'
_symmetry_Int_Tables_number 1
loop_
_symmetry_equiv_pos_as_xyz
'x,y,z'
loop_
_atom_site_label
_atom_site_type_symbol
_atom_site_fract_x
_atom_site_fract_y
_atom_site_fract_z
Pm1 Pm 0.000 0.000 0.000
Hg1 Hg 0.000 0.000 0.500
Hg2 Hg 0.000 0.500 0.000
Hg3 Hg 0.500 0.000 0.000
Hg4 Hg 0.500 0.500 0.500
F1 F 0.046 0.832 0.215
F2 F 0.168 0.383 0.215
F3 F 0.168 0.954 0.785
F4 F 0.299 0.299 0.597
F5 F 0.299 0.701 0.000
F6 F 0.383 0.168 0.215
F7 F 0.617 0.832 0.785
F8 F 0.701 0.299 0.000
F9 F 0.701 0.701 0.403
F10 F 0.832 0.046 0.215
F11 F 0.832 0.617 0.785
F12 F 0.954 0.168 0.785
```

# 12
Computed PXRD pattern
Compound: Hg3PtF6
Radiation: Cu Kα X-rays
Structure: DFT lattice parameters and positions (PBE)
No peak broadening, texture or thermal motion is included.

The 10 most intense peaks (2θ = 10–90°), in order of rising 2θ:
d 6.262, 2θ 14.1, intensity 100; d 4.482, 2θ 19.8, intensity 50; d 4.363, 2θ 20.4, intensity 52; d 4.077, 2θ 21.8, intensity 34; d 3.752, 2θ 23.7, intensity 38; d 3.131, 2θ 28.5, intensity 69; d 2.847, 2θ 31.4, intensity 57; d 2.752, 2θ 32.5, intensity 63; d 2.529, 2θ 35.5, intensity 35; d 2.182, 2θ 41.4, intensity 35

Atomic structure:
```
data_Hg3PtF6
_cell_length_a 5.685
_cell_length_b 5.829
_cell_length_c 6.338
_cell_angle_alpha 92.16
_cell_angle_beta 98.03
_cell_angle_gamma 101.70
_symmetry_space_group_name_H-M 'P 1'
_symmetry_Int_Tables_number 1
loop_
_symmetry_equiv_pos_as_xyz
'x,y,z'
loop_
_atom_site_label
_atom_site_type_symbol
_atom_site_fract_x
_atom_site_fract_y
_atom_site_fract_z
Hg1 Hg 0.000 0.000 0.000
Hg2 Hg 0.000 0.500 0.000
Hg3 Hg 0.500 0.000 0.500
Pt1 Pt 0.500 0.500 0.000
F1 F 0.151 0.855 0.345
F2 F 0.389 0.183 0.846
F3 F 0.449 0.348 0.269
F4 F 0.551 0.652 0.731
F5 F 0.611 0.817 0.154
F6 F 0.849 0.145 0.655
```